The following is a calculated powder XRD pattern of SmFeH8C6N6O4. It was derived from DFT lattice parameters and positions (GGA+U), using CuKα.

Largest 6 diffraction maxima, by angle, 2θ from 10° to 90°:
14.57 deg, intensity 100.0
17.95 deg, intensity 53.5
18.07 deg, intensity 65.4
22.74 deg, intensity 57.2
32.57 deg, intensity 38.5
33.86 deg, intensity 36.2

```
SmFeH8C6N6O4
1.0
3.8557 -6.7973 0.0000
3.8557 6.7973 0.0000
0.0000 0.0000 14.4021
Sm Fe H C N O
2 2 16 12 12 8
Direct
0.1783 0.8217 0.7500 Sm
0.8217 0.1783 0.2500 Sm
0.5000 0.5000 0.0000 Fe
0.5000 0.5000 0.5000 Fe
0.0186 0.6302 0.1952 H
0.0186 0.6302 0.3048 H
0.0958 0.9042 0.0794 H
0.0958 0.9042 0.4206 H
0.2072 0.7928 0.0552 H
0.2072 0.7928 0.4448 H
0.3698 0.9814 0.1952 H
0.3698 0.9814 0.3048 H
0.6302 0.0186 0.6952 H
0.6302 0.0186 0.8048 H
0.7928 0.2072 0.5552 H
0.7928 0.2072 0.9448 H
0.9042 0.0958 0.5794 H
0.9042 0.0958 0.9206 H
0.9814 0.3698 0.6952 H
0.9814 0.3698 0.8048 H
0.2522 0.3503 0.0953 C
0.2522 0.3503 0.4047 C
0.3503 0.2522 0.5953 C
0.3503 0.2522 0.9047 C
0.3551 0.6449 0.5624 C
0.3551 0.6449 0.9376 C
0.6449 0.3551 0.0624 C
0.6449 0.3551 0.4376 C
0.6497 0.7478 0.0953 C
0.6497 0.7478 0.4047 C
0.7478 0.6497 0.5953 C
0.7478 0.6497 0.9047 C
0.1135 0.2768 0.1445 N
0.1135 0.2768 0.3555 N
0.2768 0.1135 0.6445 N
0.2768 0.1135 0.8555 N
0.2804 0.7196 0.6033 N
0.2804 0.7196 0.8967 N
0.7196 0.2804 0.1033 N
0.7196 0.2804 0.3967 N
0.7232 0.8865 0.1445 N
0.7232 0.8865 0.3555 N
0.8865 0.7232 0.6445 N
0.8865 0.7232 0.8555 N
0.0251 0.4579 0.7500 O
0.1612 0.8388 0.1075 O
0.1612 0.8388 0.3925 O
0.4579 0.0251 0.2500 O
0.5421 0.9749 0.7500 O
0.8388 0.1612 0.6075 O
0.8388 0.1612 0.8925 O
0.9749 0.5421 0.2500 O
```

***

The following is a calculated powder XRD pattern of Na2U2FeH8C12O28. It was derived from DFT lattice parameters and positions (GGA+U), using CuKα.

Largest 6 diffraction maxima, by angle, 2θ from 10° to 90°:
12.69 deg, intensity 23.6
14.03 deg, intensity 23.0
15.55 deg, intensity 100.0
16.22 deg, intensity 80.0
16.42 deg, intensity 45.7
21.11 deg, intensity 24.1

```
Na2U2FeH8C12O28
1.0
6.5468 0.0000 0.0000
3.0123 7.3846 0.0000
1.2452 2.9844 12.6239
Na U Fe H C O
2 2 1 8 12 28
Direct
0.2504 0.1630 0.2074 Na
0.7496 0.8370 0.7926 Na
0.2364 0.6620 0.1961 U
0.7636 0.3380 0.8039 U
0.5000 0.0000 0.5000 Fe
0.0807 0.1497 0.4260 H
0.1829 0.9440 0.4043 H
0.2584 0.0199 0.6895 H
0.3455 0.8073 0.6805 H
0.6545 0.1927 0.3195 H
0.7416 0.9801 0.3105 H
0.8171 0.0560 0.5957 H
0.9193 0.8503 0.5740 H
0.0263 0.0670 0.0251 C
0.1949 0.6170 0.4542 C
0.2164 0.4551 0.7813 C
0.2992 0.4156 0.4385 C
0.3105 0.2515 0.7747 C
0.4756 0.4107 0.0214 C
0.5244 0.5893 0.9786 C
0.6895 0.7485 0.2253 C
0.7008 0.5844 0.5615 C
0.7836 0.5449 0.2187 C
0.8051 0.3830 0.5458 C
0.9737 0.9330 0.9749 C
0.0089 0.5273 0.7907 O
0.0173 0.7685 0.0276 O
0.1119 0.9986 0.1174 O
0.1382 0.6477 0.5432 O
0.1710 0.1789 0.7674 O
0.1769 0.7416 0.3661 O
0.2152 0.0570 0.4017 O
0.3155 0.4044 0.3412 O
0.3171 0.9350 0.6403 O
0.3539 0.5336 0.7763 O
0.3600 0.2815 0.5169 O
0.3676 0.4020 0.1078 O
0.4560 0.7124 0.0315 O
0.4819 0.8290 0.2241 O
0.5181 0.1710 0.7759 O
0.5440 0.2876 0.9685 O
0.6324 0.5980 0.8922 O
0.6400 0.7185 0.4831 O
0.6461 0.4664 0.2237 O
0.6829 0.0650 0.3597 O
0.6845 0.5956 0.6588 O
0.7848 0.9430 0.5983 O
0.8231 0.2584 0.6339 O
0.8290 0.8211 0.2326 O
0.8618 0.3523 0.4568 O
0.8881 0.0014 0.8826 O
0.9827 0.2315 0.9724 O
0.9911 0.4727 0.2093 O
```